Computed X-ray powder pattern
Compound: Ni3Ir6Os
Radiation: Cu Kα, 1.54184 Å
Structure: a crystal structure in Alexandria, relaxed with PBE

Atomic structure:
a = 2.6986 Å, b = 5.0980 Å, c = 21.1174 Å
α = 83.88°, β = 86.71°, γ = 75.00°
Space group P-1 (No. 2)
Asymmetric unit:
Ni (0.0000, 0.0000, 0.0000) [1 per cell]
Ni (0.0000, 0.5000, 0.5000) [1 per cell]
Ni (0.0283, 0.1350, 0.2922) [2 per cell]
Ni (0.3731, 0.5028, 0.2004) [2 per cell]
Ir (0.0955, 0.1971, 0.0988) [2 per cell]
Ir (0.1189, 0.8296, 0.4031) [2 per cell]
Ir (0.1658, 0.2811, 0.9036) [2 per cell]
Ir (0.2445, 0.3508, 0.6964) [2 per cell]
Ir (0.3487, 0.0248, 0.7995) [2 per cell]
Ir (0.3933, 0.3053, 0.3884) [2 per cell]
Os (0.5000, 0.0000, 0.5000) [1 per cell]
Os (0.5000, 0.5000, 0.0000) [1 per cell]

Most intense lines, 2θ = 10–80°, most intense first:
2.099 Å, 43.1°, I = 100; 2.144 Å, 42.2°, I = 89; 2.104 Å, 43.0°, I = 81; 4.207 Å, 21.1°, I = 36; 1.997 Å, 45.4°, I = 32; 2.250 Å, 40.1°, I = 29; 2.012 Å, 45.1°, I = 28; 2.128 Å, 42.5°, I = 24; 2.043 Å, 44.3°, I = 23; 2.121 Å, 42.6°, I = 22